Calculated X-ray diffraction stick pattern
Compound: Hf3Ti2NbSn3
Radiation: CuKα
Structure: a cell relaxed with PBE
Lines closer than 0.1° are merged.

Largest 10 diffraction maxima, most intense first, 2θ = 10–90°:
- 36.33 deg, d 2.473, intensity 100.0
- 37.42 deg, d 2.403, intensity 75.7
- 73.08 deg, d 1.295, intensity 28.0
- 21.35 deg, d 4.162, intensity 24.2
- 53.15 deg, d 1.723, intensity 24.1
- 38.49 deg, d 2.339, intensity 21.5
- 32.87 deg, d 2.725, intensity 21.4
- 63.91 deg, d 1.457, intensity 19.3
- 66.80 deg, d 1.400, intensity 16.6
- 44.43 deg, d 2.039, intensity 10.2

Atomic structure:
a b c (Å): 8.325 8.325 3.074
angles (deg): 90.00 90.00 120.00
Atoms (fractional coordinates):
Hf1 0.000 0.704 0.000
Hf2 0.296 0.296 0.000
Hf3 0.704 0.000 0.000
Ti1 0.333 0.667 0.000
Ti2 0.667 0.333 0.000
Nb1 0.000 0.000 0.500
Sn1 0.000 0.370 0.500
Sn2 0.370 0.000 0.500
Sn3 0.630 0.630 0.500

Calculated X-ray diffraction stick pattern
Compound: Li4Zr3O8
Radiation: CuKα
Structure: a cell relaxed with PBE
Lines closer than 0.1° are merged.

Largest 10 diffraction maxima, most intense first, 2θ = 10–90°:
- 22.44 deg, d 3.962, intensity 100.0
- 41.02 deg, d 2.200, intensity 96.5
- 22.84 deg, d 3.894, intensity 93.6
- 41.50 deg, d 2.176, intensity 45.9
- 21.95 deg, d 4.049, intensity 37.8
- 36.71 deg, d 2.448, intensity 35.2
- 59.06 deg, d 1.564, intensity 29.6
- 26.80 deg, d 3.327, intensity 25.9
- 59.40 deg, d 1.556, intensity 25.4
- 17.78 deg, d 4.989, intensity 24.1

Atomic structure:
a b c (Å): 5.428 6.227 10.179
angles (deg): 90.00 101.38 90.00
Atoms (fractional coordinates):
Li1 0.000 0.114 0.250
Li2 0.000 0.886 0.750
Li3 0.263 0.370 0.498
Li4 0.263 0.630 0.998
Li5 0.500 0.163 0.750
Li6 0.500 0.837 0.250
Li7 0.737 0.370 0.002
Li8 0.737 0.630 0.502
Zr1 0.000 0.402 0.750
Zr2 0.000 0.598 0.250
Zr3 0.268 0.138 0.024
Zr4 0.268 0.862 0.524
Zr5 0.732 0.138 0.476
Zr6 0.732 0.862 0.976
O1 0.106 0.372 0.127
O2 0.106 0.628 0.627
O3 0.115 0.129 0.622
O4 0.115 0.871 0.122
O5 0.345 0.360 0.884
O6 0.345 0.640 0.384
O7 0.369 0.101 0.388
O8 0.369 0.899 0.888
O9 0.631 0.101 0.112
O10 0.631 0.899 0.612
O11 0.655 0.360 0.616
O12 0.655 0.640 0.116
O13 0.885 0.129 0.878
O14 0.885 0.871 0.378
O15 0.894 0.372 0.373
O16 0.894 0.628 0.873

Calculated X-ray diffraction stick pattern
Compound: Ac2In3S7
Radiation: CuKα
Structure: a cell relaxed with PBE
Lines closer than 0.1° are merged.

Largest 10 diffraction maxima, most intense first, 2θ = 10–90°:
- 24.71 deg, d 3.603, intensity 100.0
- 27.41 deg, d 3.254, intensity 32.8
- 25.11 deg, d 3.547, intensity 28.7
- 35.23 deg, d 2.548, intensity 26.6
- 17.75 deg, d 4.997, intensity 24.3
- 41.00 deg, d 2.202, intensity 23.3
- 43.99 deg, d 2.058, intensity 22.6
- 21.24 deg, d 4.182, intensity 22.1
- 33.12 deg, d 2.705, intensity 19.4
- 48.68 deg, d 1.871, intensity 18.5

Atomic structure:
a b c (Å): 13.252 13.252 7.094
angles (deg): 90.00 90.00 32.08
Atoms (fractional coordinates):
Ac1 0.093 0.723 0.500
Ac2 0.277 0.907 0.500
Ac3 0.723 0.093 0.000
Ac4 0.907 0.277 0.000
In1 0.115 0.463 0.980
In2 0.379 0.621 0.082
In3 0.463 0.115 0.480
In4 0.537 0.885 0.980
In5 0.621 0.379 0.582
In6 0.885 0.537 0.480
S1 0.013 0.276 0.645
S2 0.064 0.936 0.227
S3 0.137 0.453 0.608
S4 0.276 0.013 0.145
S5 0.383 0.482 0.815
S6 0.453 0.137 0.108
S7 0.482 0.383 0.315
S8 0.518 0.617 0.815
S9 0.547 0.863 0.608
S10 0.617 0.518 0.315
S11 0.724 0.987 0.645
S12 0.863 0.547 0.108
S13 0.936 0.064 0.727
S14 0.987 0.724 0.145

Calculated X-ray diffraction stick pattern
Compound: Ca3AlGa2Au9
Radiation: CuKα
Structure: a cell relaxed with PBE
Lines closer than 0.1° are merged.

Largest 10 diffraction maxima, most intense first, 2θ = 10–90°:
- 36.40 deg, d 2.468, intensity 100.0
- 31.91 deg, d 2.805, intensity 98.8
- 17.97 deg, d 4.937, intensity 50.0
- 51.02 deg, d 1.790, intensity 32.8
- 29.77 deg, d 3.001, intensity 27.6
- 53.79 deg, d 1.704, intensity 27.4
- 41.70 deg, d 2.166, intensity 26.4
- 24.87 deg, d 3.580, intensity 25.1
- 40.05 deg, d 2.252, intensity 22.9
- 42.98 deg, d 2.104, intensity 21.0

Atomic structure:
a b c (Å): 6.817 6.817 9.004
angles (deg): 90.00 90.00 120.00
Atoms (fractional coordinates):
Ca1 0.000 0.000 0.000
Ca2 0.333 0.667 0.710
Ca3 0.667 0.333 0.290
Al1 0.000 0.000 0.500
Ga1 0.333 0.667 0.185
Ga2 0.667 0.333 0.815
Au1 0.000 0.500 0.000
Au2 0.141 0.281 0.289
Au3 0.141 0.859 0.289
Au4 0.281 0.141 0.711
Au5 0.500 0.000 0.000
Au6 0.500 0.500 0.000
Au7 0.719 0.859 0.289
Au8 0.859 0.141 0.711
Au9 0.859 0.719 0.711

Calculated X-ray diffraction stick pattern
Compound: Np3S3O
Radiation: CuKα
Structure: a cell relaxed with PBE
Lines closer than 0.1° are merged.

Largest 10 diffraction maxima, most intense first, 2θ = 10–90°:
- 29.30 deg, d 3.049, intensity 100.0
- 28.83 deg, d 3.097, intensity 47.3
- 26.44 deg, d 3.371, intensity 30.4
- 45.86 deg, d 1.979, intensity 24.9
- 36.91 deg, d 2.435, intensity 15.7
- 37.63 deg, d 2.391, intensity 15.0
- 45.30 deg, d 2.002, intensity 14.9
- 25.80 deg, d 3.454, intensity 13.7
- 37.49 deg, d 2.399, intensity 12.3
- 48.75 deg, d 1.868, intensity 11.9

Atomic structure:
a b c (Å): 7.769 6.829 10.580
angles (deg): 90.00 99.80 90.00
Atoms (fractional coordinates):
Np1 0.070 0.070 0.357
Np2 0.070 0.430 0.857
Np3 0.253 0.606 0.509
Np4 0.253 0.894 0.009
Np5 0.403 0.080 0.668
Np6 0.403 0.420 0.168
Np7 0.597 0.580 0.832
Np8 0.597 0.920 0.332
Np9 0.747 0.106 0.991
Np10 0.747 0.394 0.491
Np11 0.930 0.570 0.143
Np12 0.930 0.930 0.643
S1 0.093 0.192 0.111
S2 0.093 0.308 0.611
S3 0.262 0.737 0.773
S4 0.262 0.763 0.273
S5 0.406 0.249 0.917
S6 0.406 0.251 0.417
S7 0.594 0.749 0.583
S8 0.594 0.751 0.083
S9 0.738 0.237 0.727
S10 0.738 0.263 0.227
S11 0.907 0.692 0.389
S12 0.907 0.808 0.889
O1 0.181 0.580 0.039
O2 0.181 0.920 0.539
O3 0.819 0.080 0.461
O4 0.819 0.420 0.961

Calculated X-ray diffraction stick pattern
Compound: TbTh2Ge2Rh7
Radiation: CuKα
Structure: a cell relaxed with PBE
Lines closer than 0.1° are merged.

Largest 10 diffraction maxima, most intense first, 2θ = 10–90°:
- 37.32 deg, d 2.410, intensity 100.0
- 43.83 deg, d 2.065, intensity 72.1
- 34.84 deg, d 2.575, intensity 61.6
- 36.68 deg, d 2.450, intensity 50.3
- 43.87 deg, d 2.064, intensity 43.1
- 45.73 deg, d 1.984, intensity 39.4
- 31.21 deg, d 2.866, intensity 38.1
- 35.06 deg, d 2.559, intensity 37.6
- 30.79 deg, d 2.904, intensity 33.0
- 28.62 deg, d 3.119, intensity 31.6

Atomic structure:
a b c (Å): 4.143 4.143 13.054
angles (deg): 94.92 94.92 88.99
Atoms (fractional coordinates):
Tb1 0.000 0.000 0.000
Th1 0.082 0.082 0.348
Th2 0.918 0.918 0.652
Ge1 0.435 0.435 0.743
Ge2 0.565 0.565 0.257
Rh1 0.041 0.541 0.160
Rh2 0.328 0.328 0.556
Rh3 0.459 0.959 0.840
Rh4 0.500 0.500 0.000
Rh5 0.541 0.041 0.160
Rh6 0.672 0.672 0.444
Rh7 0.959 0.459 0.840

Calculated X-ray diffraction stick pattern
Compound: La4Tl2Sn
Radiation: CuKα
Structure: a cell relaxed with PBE
Lines closer than 0.1° are merged.

Largest 10 diffraction maxima, most intense first, 2θ = 10–90°:
- 32.15 deg, d 2.784, intensity 100.0
- 32.34 deg, d 2.768, intensity 95.0
- 57.44 deg, d 1.604, intensity 37.4
- 46.25 deg, d 1.963, intensity 35.4
- 19.54 deg, d 4.542, intensity 20.6
- 57.32 deg, d 1.607, intensity 19.5
- 57.80 deg, d 1.595, intensity 16.4
- 76.62 deg, d 1.244, intensity 16.2
- 76.93 deg, d 1.239, intensity 14.3
- 37.96 deg, d 2.370, intensity 14.2

Atomic structure:
a b c (Å): 9.571 9.571 9.571
angles (deg): 33.82 33.82 33.82
Atoms (fractional coordinates):
La1 0.123 0.123 0.123
La2 0.376 0.376 0.376
La3 0.624 0.624 0.624
La4 0.877 0.877 0.877
Tl1 0.256 0.256 0.256
Tl2 0.744 0.744 0.744
Sn1 0.500 0.500 0.500

Calculated X-ray diffraction stick pattern
Compound: CoTe2Cl
Radiation: CuKα
Structure: a cell relaxed with PBE
Lines closer than 0.1° are merged.

Largest 10 diffraction maxima, most intense first, 2θ = 10–90°:
- 11.30 deg, d 7.830, intensity 100.0
- 32.54 deg, d 2.752, intensity 54.8
- 40.62 deg, d 2.221, intensity 48.8
- 46.32 deg, d 1.960, intensity 40.3
- 26.52 deg, d 3.360, intensity 39.5
- 27.34 deg, d 3.262, intensity 24.2
- 57.77 deg, d 1.596, intensity 23.6
- 30.41 deg, d 2.939, intensity 21.6
- 47.04 deg, d 1.932, intensity 17.9
- 47.83 deg, d 1.902, intensity 17.3

Atomic structure:
a b c (Å): 8.151 8.151 8.151
angles (deg): 27.83 27.83 27.83
Atoms (fractional coordinates):
Co1 0.000 0.000 0.000
Te1 0.385 0.385 0.385
Te2 0.615 0.615 0.615
Cl1 0.500 0.500 0.500

Calculated X-ray diffraction stick pattern
Compound: AcTbPrHo2
Radiation: CuKα
Structure: a cell relaxed with PBE
Lines closer than 0.1° are merged.

Largest 10 diffraction maxima, most intense first, 2θ = 10–90°:
- 32.23 deg, d 2.778, intensity 100.0
- 28.61 deg, d 3.120, intensity 71.3
- 25.68 deg, d 3.469, intensity 62.5
- 44.58 deg, d 2.033, intensity 60.5
- 29.96 deg, d 2.983, intensity 59.1
- 34.94 deg, d 2.568, intensity 49.7
- 38.93 deg, d 2.314, intensity 42.5
- 27.56 deg, d 3.236, intensity 37.5
- 32.38 deg, d 2.765, intensity 30.8
- 65.00 deg, d 1.435, intensity 22.9

Atomic structure:
a b c (Å): 7.333 7.333 7.321
angles (deg): 90.00 90.00 108.87
Atoms (fractional coordinates):
Ac1 0.240 0.760 0.750
Ac2 0.760 0.240 0.250
Tb1 0.207 0.793 0.250
Tb2 0.793 0.207 0.750
Pr1 0.480 0.520 0.250
Pr2 0.520 0.480 0.750
Ho1 0.186 0.186 0.000
Ho2 0.186 0.186 0.500
Ho3 0.814 0.814 0.000
Ho4 0.814 0.814 0.500

Calculated X-ray diffraction stick pattern
Compound: CsUTiS4
Radiation: CuKα
Structure: a cell relaxed with PBE
Lines closer than 0.1° are merged.

Largest 10 diffraction maxima, most intense first, 2θ = 10–90°:
- 19.39 deg, d 4.578, intensity 100.0
- 30.81 deg, d 2.902, intensity 43.2
- 26.43 deg, d 3.372, intensity 39.6
- 39.31 deg, d 2.292, intensity 34.2
- 23.97 deg, d 3.712, intensity 34.2
- 31.81 deg, d 2.814, intensity 32.9
- 23.54 deg, d 3.779, intensity 27.4
- 33.03 deg, d 2.712, intensity 25.3
- 42.79 deg, d 2.113, intensity 25.1
- 28.84 deg, d 3.096, intensity 17.4

Atomic structure:
a b c (Å): 6.616 6.744 9.662
angles (deg): 90.00 109.21 90.00
Atoms (fractional coordinates):
Cs1 0.226 0.250 0.440
Cs2 0.774 0.750 0.560
U1 0.284 0.250 0.953
U2 0.716 0.750 0.047
Ti1 0.270 0.750 0.158
Ti2 0.730 0.250 0.842
S1 0.045 0.750 0.927
S2 0.063 0.750 0.305
S3 0.488 0.507 0.812
S4 0.488 0.993 0.812
S5 0.512 0.007 0.188
S6 0.512 0.493 0.188
S7 0.937 0.250 0.695
S8 0.955 0.250 0.073

Calculated X-ray diffraction stick pattern
Compound: LiTiPO5
Radiation: CuKα
Structure: a cell relaxed with PBE
Lines closer than 0.1° are merged.

Largest 10 diffraction maxima, most intense first, 2θ = 10–90°:
- 26.71 deg, d 3.338, intensity 100.0
- 27.70 deg, d 3.221, intensity 65.6
- 27.06 deg, d 3.296, intensity 31.7
- 18.33 deg, d 4.841, intensity 23.5
- 39.11 deg, d 2.303, intensity 21.3
- 24.26 deg, d 3.669, intensity 19.2
- 43.92 deg, d 2.062, intensity 18.0
- 16.91 deg, d 5.244, intensity 17.5
- 57.75 deg, d 1.596, intensity 16.6
- 72.28 deg, d 1.307, intensity 16.0

Atomic structure:
a b c (Å): 7.495 6.441 7.339
angles (deg): 90.00 90.00 90.00
Atoms (fractional coordinates):
Li1 0.000 0.000 0.000
Li2 0.000 0.500 0.000
Li3 0.500 0.000 0.500
Li4 0.500 0.500 0.500
Ti1 0.167 0.250 0.281
Ti2 0.333 0.750 0.781
Ti3 0.667 0.250 0.219
Ti4 0.833 0.750 0.719
P1 0.126 0.750 0.375
P2 0.374 0.250 0.875
P3 0.626 0.750 0.125
P4 0.874 0.250 0.625
O1 0.048 0.250 0.512
O2 0.112 0.750 0.848
O3 0.129 0.557 0.250
O4 0.129 0.943 0.250
O5 0.207 0.250 0.001
O6 0.293 0.750 0.501
O7 0.371 0.057 0.750
O8 0.371 0.443 0.750
O9 0.388 0.250 0.348
O10 0.452 0.750 0.012
O11 0.548 0.250 0.988
O12 0.612 0.750 0.652
O13 0.629 0.557 0.250
O14 0.629 0.943 0.250
O15 0.707 0.250 0.499
O16 0.793 0.750 0.999
O17 0.871 0.057 0.750
O18 0.871 0.443 0.750
O19 0.888 0.250 0.152
O20 0.952 0.750 0.488

Calculated X-ray diffraction stick pattern
Compound: Sr2NdCu2S4
Radiation: CuKα
Structure: a cell relaxed with PBE
Lines closer than 0.1° are merged.

Largest 10 diffraction maxima, most intense first, 2θ = 10–90°:
- 35.59 deg, d 2.523, intensity 100.0
- 29.93 deg, d 2.986, intensity 94.0
- 33.85 deg, d 2.648, intensity 67.6
- 35.31 deg, d 2.542, intensity 58.7
- 13.04 deg, d 6.790, intensity 54.4
- 46.48 deg, d 1.954, intensity 48.4
- 33.03 deg, d 2.712, intensity 45.7
- 26.25 deg, d 3.395, intensity 38.8
- 39.24 deg, d 2.296, intensity 35.8
- 23.67 deg, d 3.758, intensity 35.3

Atomic structure:
a b c (Å): 7.609 7.609 7.250
angles (deg): 109.80 109.80 29.75
Atoms (fractional coordinates):
Sr1 0.133 0.133 0.072
Sr2 0.867 0.867 0.928
Nd1 0.000 0.000 0.500
Cu1 0.315 0.315 0.499
Cu2 0.685 0.685 0.501
S1 0.207 0.207 0.710
S2 0.468 0.468 0.757
S3 0.532 0.532 0.243
S4 0.793 0.793 0.290

What did the second record say?
Calculated X-ray diffraction stick pattern
Compound: Li4Zr3O8
Radiation: CuKα
Structure: a cell relaxed with PBE
Lines closer than 0.1° are merged.

Largest 10 diffraction maxima, most intense first, 2θ = 10–90°:
- 22.44 deg, d 3.962, intensity 100.0
- 41.02 deg, d 2.200, intensity 96.5
- 22.84 deg, d 3.894, intensity 93.6
- 41.50 deg, d 2.176, intensity 45.9
- 21.95 deg, d 4.049, intensity 37.8
- 36.71 deg, d 2.448, intensity 35.2
- 59.06 deg, d 1.564, intensity 29.6
- 26.80 deg, d 3.327, intensity 25.9
- 59.40 deg, d 1.556, intensity 25.4
- 17.78 deg, d 4.989, intensity 24.1

Atomic structure:
a b c (Å): 5.428 6.227 10.179
angles (deg): 90.00 101.38 90.00
Atoms (fractional coordinates):
Li1 0.000 0.114 0.250
Li2 0.000 0.886 0.750
Li3 0.263 0.370 0.498
Li4 0.263 0.630 0.998
Li5 0.500 0.163 0.750
Li6 0.500 0.837 0.250
Li7 0.737 0.370 0.002
Li8 0.737 0.630 0.502
Zr1 0.000 0.402 0.750
Zr2 0.000 0.598 0.250
Zr3 0.268 0.138 0.024
Zr4 0.268 0.862 0.524
Zr5 0.732 0.138 0.476
Zr6 0.732 0.862 0.976
O1 0.106 0.372 0.127
O2 0.106 0.628 0.627
O3 0.115 0.129 0.622
O4 0.115 0.871 0.122
O5 0.345 0.360 0.884
O6 0.345 0.640 0.384
O7 0.369 0.101 0.388
O8 0.369 0.899 0.888
O9 0.631 0.101 0.112
O10 0.631 0.899 0.612
O11 0.655 0.360 0.616
O12 0.655 0.640 0.116
O13 0.885 0.129 0.878
O14 0.885 0.871 0.378
O15 0.894 0.372 0.373
O16 0.894 0.628 0.873